No. 1
CsPaSe3Cl: theoretical powder X-ray diffraction pattern (CuKα), based on a GGA-PBE-relaxed structure.

Structure:
Cell: 6.905 21.525 7.245 Å, 90.00 91.34 90.00°
Space group C2/c (No. 15)
Inequivalent atoms, fractional coordinates:
Cs: 0.000 0.233 0.250
Pa: 0.000 0.043 0.750
Se: 0.000 0.166 0.750
Se: 0.234 0.034 0.448
Cl: 0.000 0.293 0.750

Top 8 peaks for 15° ≤ 2θ ≤ 90°, sorted by position:
- 2θ 16.47, I 74
- 2θ 21.84, I 100
- 2θ 24.58, I 37
- 2θ 27.86, I 53
- 2θ 34.35, I 74
- 2θ 35.54, I 71
- 2θ 36.38, I 37
- 2θ 44.68, I 30

No. 2
HoAl6Ga: theoretical powder X-ray diffraction pattern (CuKα), based on a GGA-PBE-relaxed structure.

Structure:
Cell: 6.183 9.865 4.841 Å, 90.00 90.00 90.00°
Space group Cmmm (No. 65)
Inequivalent atoms, fractional coordinates:
Ho: 0.000 0.000 0.000
Al: 0.000 0.223 0.500
Al: 0.207 0.500 0.500
Al: 0.250 0.250 0.000
Ga: 0.000 0.500 0.000

Top 8 peaks for 15° ≤ 2θ ≤ 90°, sorted by position:
- 2θ 17.98, I 39
- 2θ 18.33, I 36
- 2θ 25.78, I 31
- 2θ 36.43, I 30
- 2θ 37.14, I 31
- 2θ 39.10, I 100
- 2θ 53.00, I 20
- 2θ 68.26, I 19

No. 3
Pr10SmHo4: theoretical powder X-ray diffraction pattern (CuKα), based on a GGA-PBE-relaxed structure.

Structure:
Cell: 10.109 10.109 10.874 Å, 90.00 90.00 90.00°
Space group I4/m (No. 87)
Inequivalent atoms, fractional coordinates:
Pr: 0.000 0.500 0.250
Pr: 0.119 0.773 0.168
Sm: 0.000 0.000 0.000
Ho: 0.055 0.726 0.500

Top 8 peaks for 15° ≤ 2θ ≤ 90°, sorted by position:
- 2θ 21.29, I 18
- 2θ 26.12, I 24
- 2θ 27.91, I 80
- 2θ 31.64, I 100
- 2θ 32.49, I 33
- 2θ 39.88, I 29
- 2θ 40.69, I 23
- 2θ 58.55, I 20

No. 4
TlFe8: theoretical powder X-ray diffraction pattern (CuKα), based on a GGA-PBE-relaxed structure.

Structure:
Cell: 7.726 7.726 3.650 Å, 90.00 90.00 90.00°
Space group I4/mmm (No. 139)
Inequivalent atoms, fractional coordinates:
Tl: 0.000 0.000 0.000
Fe: 0.000 0.355 0.000
Fe: 0.185 0.185 0.500

Top 8 peaks for 15° ≤ 2θ ≤ 90°, sorted by position:
- 2θ 27.02, I 19
- 2θ 32.79, I 16
- 2θ 35.79, I 21
- 2θ 42.98, I 100
- 2θ 49.98, I 17
- 2θ 50.09, I 29
- 2θ 73.49, I 25
- 2θ 89.15, I 17

No. 5
Tb6Nd8Sc: theoretical powder X-ray diffraction pattern (CuKα), based on a GGA-PBE-relaxed structure.

Structure:
Cell: 9.1586 9.1586 20.8307 Å, 90.00 90.00 120.00°
Space group R-3 (No. 148, hexagonal axes)
Inequivalent atoms, fractional coordinates:
Tb: 0.0527 0.2491 0.2058
Nd: 0.0000 0.0000 0.0780
Nd: 0.0824 0.5591 0.3055
Sc: 0.0000 0.0000 0.5000

Top 8 peaks for 15° ≤ 2θ ≤ 90°, sorted by position:
- 2θ 30.12, I 35
- 2θ 31.08, I 100
- 2θ 32.13, I 30
- 2θ 32.36, I 17
- 2θ 34.52, I 11
- 2θ 36.36, I 15
- 2θ 52.55, I 12
- 2θ 54.64, I 16

No. 6
Sm3AlSi2Pd9: theoretical powder X-ray diffraction pattern (CuKα), based on a GGA-PBE-relaxed structure.

Structure:
Cell: 6.3267 6.3267 8.8429 Å, 90.00 90.00 120.00°
Space group P-3m1 (No. 164)
Inequivalent atoms, fractional coordinates:
Sm: 0.0000 0.0000 0.0000
Sm: 0.3333 0.6667 0.6864
Al: 0.0000 0.0000 0.5000
Si: 0.3333 0.6667 0.1754
Pd: 0.0000 0.5000 0.0000
Pd: 0.1457 0.2915 0.2859

Top 8 peaks for 15° ≤ 2θ ≤ 90°, sorted by position:
- 2θ 30.32, I 33
- 2θ 34.27, I 100
- 2θ 38.66, I 88
- 2θ 45.19, I 15
- 2θ 53.24, I 22
- 2θ 58.34, I 25
- 2θ 62.51, I 15
- 2θ 67.17, I 17

No. 7
Pu2TcGe3: theoretical powder X-ray diffraction pattern (CuKα), based on a GGA-PBE-relaxed structure.

Structure:
Cell: 4.473 5.461 10.358 Å, 90.00 90.00 90.00°
Space group Immm (No. 71)
Inequivalent atoms, fractional coordinates:
Pu: 0.000 0.000 0.188
Tc: 0.000 0.000 0.500
Ge: 0.000 0.500 0.125
Ge: 0.000 0.500 0.500

Top 8 peaks for 15° ≤ 2θ ≤ 90°, sorted by position:
- 2θ 25.74, I 26
- 2θ 30.63, I 17
- 2θ 31.08, I 26
- 2θ 32.78, I 100
- 2θ 40.32, I 22
- 2θ 47.04, I 46
- 2θ 52.92, I 20
- 2θ 78.26, I 15

No. 8
Pm4Sm2Er5: theoretical powder X-ray diffraction pattern (CuKα), based on a GGA-PBE-relaxed structure.

Structure:
Cell: 3.579 8.763 11.873 Å, 104.21 98.59 90.02°
Space group P-1 (No. 2)
Inequivalent atoms, fractional coordinates:
Pm: 0.046 0.361 0.091
Pm: 0.318 0.546 0.636
Sm: 0.408 0.267 0.815
Er: 0.137 0.091 0.274
Er: 0.228 0.823 0.457
Er: 0.500 0.000 0.000

Top 8 peaks for 15° ≤ 2θ ≤ 90°, sorted by position:
- 2θ 30.59, I 100
- 2θ 35.47, I 51
- 2θ 51.03, I 36
- 2θ 60.68, I 43
- 2θ 83.15, I 7
- 2θ 83.22, I 10
- 2θ 85.81, I 7
- 2θ 85.89, I 10